# Ce2NpU3N6
Calculated powder X-ray diffraction pattern, a wavelength of 1.5418 Å. Input: a cell relaxed with GGA-PBE.
Kinematic intensities with the Lorentz-polarization factor, no thermal factor.

Cell: 6.0365 10.4409 6.0246 Å, 90.00 109.56 90.00°
Space group C2/m (No. 12)
One atom of each set of equivalent atoms:
Ce 0.0000 0.1667 0.0000 x4
Np 0.0000 0.5000 0.0000 x2
U 0.0000 0.0000 0.5000 x2
U 0.0000 0.3326 0.5000 x4
N 0.2347 0.5000 0.7263 x4
N 0.2464 0.1629 0.7282 x8

Principal peaks in the range 2θ from 15° to 90°, sorted by position:
| 2θ (°) | Rel. int. |
| --- | --- |
| 31.48 | 100 |
| 36.51 | 67 |
| 52.59 | 47 |
| 62.56 | 27 |
| 62.63 | 19 |
| 65.68 | 12 |
| 65.80 | 4 |
| 77.62 | 5 |
| 86.01 | 7 |
| 86.14 | 12 |
| 88.83 | 8 |
| 88.97 | 15 |

# TmIn2Au8
Calculated powder X-ray diffraction pattern, a wavelength of 1.5418 Å. Input: a cell relaxed with GGA-PBE.
Kinematic intensities with the Lorentz-polarization factor, no thermal factor.

Cell: 8.7357 12.2440 4.4304 Å, 90.00 102.35 90.00°
Space group C2/m (No. 12)
One atom of each set of equivalent atoms:
Tm 0.0000 0.0000 0.0000 x2
In 0.0000 0.3718 0.5000 x4
Au 0.0000 0.2381 0.0000 x4
Au 0.1652 0.5000 0.9897 x4
Au 0.1710 0.1356 0.5476 x8

Principal peaks in the range 2θ from 15° to 90°, sorted by position:
| 2θ (°) | Rel. int. |
| --- | --- |
| 32.47 | 11 |
| 34.61 | 49 |
| 35.94 | 100 |
| 38.58 | 39 |
| 41.74 | 31 |
| 42.23 | 27 |
| 49.09 | 17 |
| 52.37 | 14 |
| 60.48 | 11 |
| 65.65 | 9 |
| 72.26 | 14 |
| 72.43 | 11 |

# AcGe2Pt5Rh
Calculated powder X-ray diffraction pattern, a wavelength of 1.5418 Å. Input: a cell relaxed with GGA-PBE.
Kinematic intensities with the Lorentz-polarization factor, no thermal factor.

Cell: 4.2162 4.2162 10.6291 Å, 90.00 90.00 90.00°
Space group P4/mmm (No. 123)
One atom of each set of equivalent atoms:
Ac 0.0000 0.0000 0.0000 x1
Ge 0.5000 0.5000 0.2291 x2
Pt 0.0000 0.5000 0.3482 x4
Pt 0.5000 0.5000 0.0000 x1
Rh 0.0000 0.0000 0.5000 x1

Principal peaks in the range 2θ from 15° to 90°, sorted by position:
| 2θ (°) | Rel. int. |
| --- | --- |
| 25.13 | 70 |
| 26.99 | 20 |
| 31.16 | 100 |
| 34.49 | 51 |
| 39.50 | 21 |
| 42.90 | 74 |
| 45.74 | 93 |
| 50.37 | 44 |
| 62.29 | 25 |
| 69.28 | 20 |
| 71.29 | 19 |
| 80.62 | 36 |